No. 1
Starting from a GGA+U-relaxed structure, the powder XRD pattern of Co3O2F4 was calculated for CuKα.
Lines closer than 0.1° are merged.

Structural model:
Lattice parameters (Å, degrees): 5.659 4.583 7.733 90.00 92.13 90.00
Fractional coordinates of all 18 atoms:
Co 0.068 0.000 0.350
Co 0.270 0.482 0.000
Co 0.400 0.037 0.673
Co 0.600 0.537 0.327
Co 0.730 0.982 0.000
Co 0.932 0.500 0.650
O 0.112 0.202 0.565
O 0.450 0.206 0.900
O 0.550 0.706 0.100
O 0.888 0.702 0.435
F 0.052 0.801 0.104
F 0.218 0.701 0.773
F 0.279 0.298 0.241
F 0.383 0.809 0.445
F 0.617 0.309 0.555
F 0.721 0.798 0.759
F 0.782 0.201 0.227
F 0.948 0.301 0.896

Main lines, in order of rising 2θ (5° ≤ 2θ ≤ 70°):
Position (°2θ), I_rel
27.3, 100
34.2, 17
34.7, 31
34.8, 14
52.5, 16
53.1, 15
53.5, 30
56.4, 17

No. 2
Starting from a GGA+U-relaxed structure, the powder XRD pattern of Na2LiMnPCO7 was calculated for CuKα.
Lines closer than 0.1° are merged.

Structural model:
Lattice parameters (Å, degrees): 5.294 6.883 8.851 90.00 94.29 90.00
Fractional coordinates of all 26 atoms:
Na 0.214 0.004 0.253
Na 0.214 0.496 0.253
Na 0.786 0.504 0.747
Na 0.786 0.996 0.747
Li 0.378 0.250 0.877
Li 0.622 0.750 0.123
Mn 0.297 0.750 0.642
Mn 0.703 0.250 0.358
P 0.217 0.250 0.591
P 0.783 0.750 0.409
C 0.262 0.750 0.943
C 0.738 0.250 0.057
O 0.070 0.750 0.843
O 0.078 0.750 0.432
O 0.232 0.750 0.087
O 0.307 0.070 0.688
O 0.307 0.430 0.688
O 0.328 0.250 0.433
O 0.493 0.750 0.899
O 0.507 0.250 0.101
O 0.672 0.750 0.567
O 0.693 0.570 0.312
O 0.693 0.930 0.312
O 0.768 0.250 0.913
O 0.922 0.250 0.568
O 0.930 0.250 0.157

Main lines, in order of rising 2θ (5° ≤ 2θ ≤ 70°):
Position (°2θ), I_rel
10.0, 100
25.3, 24
25.9, 54
27.3, 22
32.3, 35
33.0, 59
34.0, 37
49.0, 30

No. 3
Starting from a GGA+U-relaxed structure, the powder XRD pattern of Li9Mn2Co5O16 was calculated for CuKα.
Lines closer than 0.1° are merged.

Structural model:
Lattice parameters (Å, degrees): 3.026 5.054 19.168 92.05 92.12 91.39
Fractional coordinates of all 32 atoms:
Li 0.000 0.000 0.000
Li 0.000 0.500 0.500
Li 0.004 0.249 0.749
Li 0.492 0.628 0.375
Li 0.498 0.876 0.126
Li 0.500 0.000 0.500
Li 0.502 0.124 0.874
Li 0.508 0.372 0.625
Li 0.996 0.751 0.251
Mn 0.006 0.374 0.126
Mn 0.994 0.626 0.874
Co 0.003 0.875 0.619
Co 0.495 0.244 0.252
Co 0.500 0.500 0.000
Co 0.505 0.756 0.748
Co 0.997 0.125 0.381
O 0.001 0.155 0.570
O 0.009 0.403 0.315
O 0.010 0.919 0.812
O 0.018 0.666 0.063
O 0.456 0.795 0.939
O 0.465 0.042 0.686
O 0.467 0.542 0.191
O 0.469 0.301 0.433
O 0.531 0.699 0.567
O 0.533 0.458 0.809
O 0.535 0.958 0.314
O 0.544 0.205 0.061
O 0.982 0.334 0.937
O 0.990 0.081 0.188
O 0.991 0.597 0.685
O 0.999 0.845 0.430

Main lines, in order of rising 2θ (5° ≤ 2θ ≤ 70°):
Position (°2θ), I_rel
18.3, 100
34.5, 20
35.7, 15
36.8, 11
41.5, 33
43.5, 28
45.0, 25
61.3, 9